Structure and calculated XRD peak list of Mo3Br6O (DFT lattice parameters and positions (GGA+U); Cu Ka).
No peak broadening, texture or thermal motion is included.

Structure:
Cell lengths 11.2775, 11.2775, 11.4738 Å; angles 90.00, 90.00, 90.00 degrees
Space group I4/m (No. 87)
Unique sites:
1 Mo 0.0000 0.0000 0.1854 (multiplicity 4)
2 Mo 0.0925 0.7995 0.0000 (multiplicity 8)
3 Br 0.0827 0.2246 0.1596 (multiplicity 16)
4 Br 0.0930 0.3123 0.5000 (multiplicity 8)
5 O 0.0000 0.0000 0.3340 (multiplicity 4)

Largest 8 diffraction maxima, most intense first, 10 to 90 degrees two-theta:
2θ (°), intensity, hkl
11.0, 100, 1 0 1
29.3, 30, 2 1 3
40.5, 22, 1 4 3
25.0, 21, 1 3 0
35.6, 17, 4 2 0
39.0, 16, 2 4 2
37.1, 15, 2 3 3
19.2, 11, 1 2 1